Structure and calculated X-ray diffraction stick pattern of La2NpFeO8 (the PBE+U geometry in Alexandria; Cu Kα, 1.54184 Å).
Peak positions follow from Bragg's law for the DFT cell and can differ from measured ones.

Cell: 4.388 5.403 7.624 Å, 80.16 85.33 80.58°
Space group P-1 (No. 2)
Symmetry-distinct sites (fractional):
La 0.040 0.056 0.232
Np 0.500 0.500 0.500
Fe 0.500 0.500 0.000
O 0.093 0.719 0.511
O 0.175 0.755 0.037
O 0.408 0.217 0.673
O 0.466 0.333 0.244

Top 10 peaks for 10 to 80 degrees two-theta, in order of rising 2θ:
| (hkl) | 2θ (°) | I/Imax |
| --- | --- | --- |
| 0 0 1 | 11.80 | 41 |
| 0 1 -1 | 22.14 | 36 |
| 1 1 0 | 24.58 | 100 |
| 0 1 2 | 26.89 | 85 |
| 1 -1 0 | 28.66 | 67 |
| 1 0 2 | 30.69 | 48 |
| 0 1 -2 | 31.43 | 45 |
| 1 0 -2 | 32.45 | 28 |
| 2 0 0 | 41.79 | 26 |
| -1 2 2 | 47.26 | 32 |